[1]
Diffraction record for NaSbClOF3. The powder X-ray diffraction pattern is calculated, not measured: it uses a structure optimized by DFT (GGA-PBE) and Cu Kα, 1.54184 Å.
Lines closer than 0.1° are merged.

Structural model:
Unit cell a=5.9768 b=15.0056 c=11.5313 alpha=90.00 beta=90.00 gamma=90.00
Positions (direct):
1 Na 0.2069 0.0079 0.1251
2 Na 0.2069 0.4921 0.6251
3 Na 0.2931 0.5079 0.1251
4 Na 0.2931 0.9921 0.6251
5 Na 0.7069 0.0079 0.3749
6 Na 0.7069 0.4921 0.8749
7 Na 0.7931 0.5079 0.3749
8 Na 0.7931 0.9921 0.8749
9 Sb 0.1493 0.1680 0.4087
10 Sb 0.1493 0.3320 0.9087
11 Sb 0.3507 0.6680 0.4087
12 Sb 0.3507 0.8320 0.9087
13 Sb 0.6493 0.1680 0.0913
14 Sb 0.6493 0.3320 0.5913
15 Sb 0.8507 0.6680 0.0913
16 Sb 0.8507 0.8320 0.5913
17 Cl 0.2272 0.2401 0.6416
18 Cl 0.2272 0.2599 0.1416
19 Cl 0.2728 0.7401 0.6416
20 Cl 0.2728 0.7599 0.1416
21 Cl 0.7272 0.2401 0.8584
22 Cl 0.7272 0.2599 0.3584
23 Cl 0.7728 0.7401 0.8584
24 Cl 0.7728 0.7599 0.3584
25 O 0.1669 0.1112 0.7586
26 O 0.1669 0.3888 0.2586
27 O 0.3331 0.6112 0.7586
28 O 0.3331 0.8888 0.2586
29 O 0.6669 0.1112 0.7414
30 O 0.6669 0.3888 0.2414
31 O 0.8331 0.6112 0.7414
32 O 0.8331 0.8888 0.2414
33 F 0.0422 0.0815 0.2873
34 F 0.0422 0.4185 0.7873
35 F 0.0577 0.5984 0.9935
36 F 0.0577 0.9016 0.4935
37 F 0.1176 0.5781 0.4546
38 F 0.1176 0.9219 0.9546
39 F 0.3824 0.0781 0.4546
40 F 0.3824 0.4219 0.9546
41 F 0.4423 0.0984 0.9935
42 F 0.4423 0.4016 0.4935
43 F 0.4578 0.5815 0.2873
44 F 0.4578 0.9185 0.7873
45 F 0.5422 0.0815 0.2127
46 F 0.5422 0.4185 0.7127
47 F 0.5577 0.5984 0.5065
48 F 0.5577 0.9016 0.0065
49 F 0.6176 0.5781 0.0454
50 F 0.6176 0.9219 0.5454
51 F 0.8824 0.0781 0.0454
52 F 0.8824 0.4219 0.5454
53 F 0.9423 0.0984 0.5065
54 F 0.9423 0.4016 0.0065
55 F 0.9578 0.5815 0.2127
56 F 0.9578 0.9185 0.7127

Most intense lines, 10° ≤ 2θ ≤ 90°, by angle:
2theta  I (rel.)
14.08  68
20.50  100
24.46  66
26.05  65
29.15  38
32.17  67


[2]
Diffraction record for Ca6Si6O19. The powder X-ray diffraction pattern is calculated, not measured: it uses a structure optimized by DFT (GGA-PBE) and Cu Kα, 1.54184 Å.
Lines closer than 0.1° are merged.

Structural model:
Unit cell a=7.0806 b=7.4325 c=8.8882 alpha=78.01 beta=89.99 gamma=89.60
Positions (direct):
1 Ca 0.0000 0.0000 0.0000
2 Ca 0.0000 0.5000 0.0000
3 Ca 0.1616 0.3432 0.6315
4 Ca 0.1639 0.8441 0.6310
5 Ca 0.8361 0.1559 0.3690
6 Ca 0.8384 0.6568 0.3685
7 Si 0.2648 0.7146 0.2915
8 Si 0.2674 0.1364 0.2876
9 Si 0.4473 0.5488 0.8187
10 Si 0.5527 0.4512 0.1813
11 Si 0.7326 0.8636 0.7124
12 Si 0.7352 0.2854 0.7085
13 O 0.1124 0.7120 0.1554
14 O 0.1204 0.2097 0.1482
15 O 0.1647 0.1422 0.4516
16 O 0.1670 0.6306 0.4572
17 O 0.1997 0.0529 0.7904
18 O 0.2218 0.5549 0.7951
19 O 0.3388 0.9230 0.2957
20 O 0.4662 0.6058 0.2706
21 O 0.4717 0.2494 0.2682
22 O 0.5000 0.5000 0.0000
23 O 0.5283 0.7506 0.7318
24 O 0.5338 0.3942 0.7294
25 O 0.6612 0.0770 0.7043
26 O 0.7782 0.4451 0.2049
27 O 0.8003 0.9471 0.2096
28 O 0.8330 0.3694 0.5428
29 O 0.8353 0.8578 0.5484
30 O 0.8796 0.7903 0.8518
31 O 0.8876 0.2880 0.8446

Most intense lines, 10° ≤ 2θ ≤ 90°, by angle:
2theta  I (rel.)
12.50  36
20.43  31
24.02  48
27.21  59
28.53  100
32.60  43


[3]
Diffraction record for Ta2Al. The powder X-ray diffraction pattern is calculated, not measured: it uses a structure optimized by DFT (GGA-PBE) and Cu Kα, 1.54184 Å.
Lines closer than 0.1° are merged.

Structural model:
Unit cell a=9.9382 b=9.9382 c=5.2251 alpha=90.00 beta=90.00 gamma=90.00
Positions (direct):
1 Ta 0.0345 0.3703 0.0000
2 Ta 0.1019 0.1019 0.0000
3 Ta 0.1297 0.5345 0.5000
4 Ta 0.1825 0.8175 0.2481
5 Ta 0.1825 0.8175 0.7519
6 Ta 0.3175 0.3175 0.2519
7 Ta 0.3175 0.3175 0.7481
8 Ta 0.3703 0.0345 0.0000
9 Ta 0.3981 0.6019 0.5000
10 Ta 0.4655 0.8703 0.5000
11 Ta 0.5345 0.1297 0.5000
12 Ta 0.6019 0.3981 0.5000
13 Ta 0.6297 0.9655 0.0000
14 Ta 0.6825 0.6825 0.2519
15 Ta 0.6825 0.6825 0.7481
16 Ta 0.8175 0.1825 0.2481
17 Ta 0.8175 0.1825 0.7519
18 Ta 0.8703 0.4655 0.5000
19 Ta 0.8981 0.8981 0.0000
20 Ta 0.9655 0.6297 0.0000
21 Al 0.0000 0.0000 0.5000
22 Al 0.0654 0.2625 0.5000
23 Al 0.2375 0.5654 0.0000
24 Al 0.2625 0.0654 0.5000
25 Al 0.4346 0.7625 0.0000
26 Al 0.5000 0.5000 0.0000
27 Al 0.5654 0.2375 0.0000
28 Al 0.7375 0.9346 0.5000
29 Al 0.7625 0.4346 0.0000
30 Al 0.9346 0.7375 0.5000

Most intense lines, 10° ≤ 2θ ≤ 90°, by angle:
2theta  I (rel.)
19.19  50
37.31  100
38.43  59
38.95  66
40.03  90
41.25  96


[4]
Diffraction record for Eu3Ge2As4. The powder X-ray diffraction pattern is calculated, not measured: it uses a structure optimized by DFT (GGA-PBE) and Cu Kα, 1.54184 Å.
Lines closer than 0.1° are merged.

Structural model:
Unit cell a=7.5194 b=18.1458 c=7.4645 alpha=90.00 beta=111.38 gamma=90.00
Positions (direct):
1 Eu 0.2213 0.1844 0.0123
2 Eu 0.2213 0.3156 0.5123
3 Eu 0.2541 0.0619 0.5110
4 Eu 0.2541 0.4381 0.0110
5 Eu 0.2602 0.5603 0.5010
6 Eu 0.2602 0.9397 0.0010
7 Eu 0.7398 0.0603 0.9990
8 Eu 0.7398 0.4397 0.4990
9 Eu 0.7459 0.5619 0.9890
10 Eu 0.7459 0.9381 0.4890
11 Eu 0.7787 0.6844 0.4877
12 Eu 0.7787 0.8156 0.9877
13 Ge 0.2086 0.6265 0.0305
14 Ge 0.2086 0.8735 0.5305
15 Ge 0.3155 0.7414 0.9155
16 Ge 0.3155 0.7586 0.4155
17 Ge 0.6845 0.2414 0.5845
18 Ge 0.6845 0.2586 0.0845
19 Ge 0.7914 0.1265 0.4695
20 Ge 0.7914 0.3735 0.9695
21 As 0.0034 0.5584 0.7467
22 As 0.0034 0.9416 0.2467
23 As 0.0282 0.6856 0.2228
24 As 0.0282 0.8144 0.7228
25 As 0.4904 0.1950 0.7733
26 As 0.4904 0.3050 0.2733
27 As 0.4974 0.0655 0.2548
28 As 0.4974 0.4345 0.7548
29 As 0.5026 0.5655 0.2452
30 As 0.5026 0.9345 0.7452
31 As 0.5096 0.6950 0.7267
32 As 0.5096 0.8050 0.2267
33 As 0.9718 0.1856 0.2772
34 As 0.9718 0.3144 0.7772
35 As 0.9966 0.0584 0.7533
36 As 0.9966 0.4416 0.2533

Most intense lines, 10° ≤ 2θ ≤ 90°, by angle:
2theta  I (rel.)
28.88  100
39.74  9
41.16  23
41.41  22
42.83  17
49.84  12


[5]
Diffraction record for La3Sn13Ru4. The powder X-ray diffraction pattern is calculated, not measured: it uses a structure optimized by DFT (GGA-PBE) and Cu Kα, 1.54184 Å.
Lines closer than 0.1° are merged.

Structural model:
Unit cell a=9.8777 b=9.8777 c=9.8777 alpha=90.00 beta=90.00 gamma=90.00
Positions (direct):
1 La 0.0000 0.2500 0.5000
2 La 0.0000 0.7500 0.5000
3 La 0.2500 0.5000 0.0000
4 La 0.5000 0.0000 0.2500
5 La 0.5000 0.0000 0.7500
6 La 0.7500 0.5000 0.0000
7 Sn 0.0000 0.0000 0.0000
8 Sn 0.0000 0.3023 0.1548
9 Sn 0.0000 0.3023 0.8452
10 Sn 0.0000 0.6977 0.1548
11 Sn 0.0000 0.6977 0.8452
12 Sn 0.1548 0.0000 0.3023
13 Sn 0.1548 0.0000 0.6977
14 Sn 0.1977 0.5000 0.3452
15 Sn 0.1977 0.5000 0.6548
16 Sn 0.3023 0.1548 0.0000
17 Sn 0.3023 0.8452 0.0000
18 Sn 0.3452 0.1977 0.5000
19 Sn 0.3452 0.8023 0.5000
20 Sn 0.5000 0.3452 0.1977
21 Sn 0.5000 0.3452 0.8023
22 Sn 0.5000 0.5000 0.5000
23 Sn 0.5000 0.6548 0.1977
24 Sn 0.5000 0.6548 0.8023
25 Sn 0.6548 0.1977 0.5000
26 Sn 0.6548 0.8023 0.5000
27 Sn 0.6977 0.1548 0.0000
28 Sn 0.6977 0.8452 0.0000
29 Sn 0.8023 0.5000 0.3452
30 Sn 0.8023 0.5000 0.6548
31 Sn 0.8452 0.0000 0.3023
32 Sn 0.8452 0.0000 0.6977
33 Ru 0.2500 0.2500 0.2500
34 Ru 0.2500 0.2500 0.7500
35 Ru 0.2500 0.7500 0.2500
36 Ru 0.2500 0.7500 0.7500
37 Ru 0.7500 0.2500 0.2500
38 Ru 0.7500 0.2500 0.7500
39 Ru 0.7500 0.7500 0.2500
40 Ru 0.7500 0.7500 0.7500

Most intense lines, 10° ≤ 2θ ≤ 90°, by angle:
2theta  I (rel.)
32.69  100
33.96  36
36.38  23
44.96  22
54.14  14
57.52  18


[6]
Diffraction record for TcS2. The powder X-ray diffraction pattern is calculated, not measured: it uses a structure optimized by DFT (GGA-PBE) and Cu Kα, 1.54184 Å.
Lines closer than 0.1° are merged.

Structural model:
Unit cell a=6.4080 b=6.5172 c=7.5399 alpha=66.79 beta=77.82 gamma=61.17
Positions (direct):
1 Tc 0.0114 0.2855 0.0021
2 Tc 0.4381 0.3094 0.0078
3 Tc 0.5619 0.6906 0.9922
4 Tc 0.9886 0.7145 0.9979
5 S 0.1373 0.3306 0.2493
6 S 0.1774 0.8300 0.1703
7 S 0.3249 0.7009 0.7749
8 S 0.3592 0.1516 0.8068
9 S 0.6408 0.8484 0.1932
10 S 0.6751 0.2991 0.2251
11 S 0.8226 0.1700 0.8297
12 S 0.8627 0.6694 0.7507

Most intense lines, 10° ≤ 2θ ≤ 90°, by angle:
2theta  I (rel.)
12.78  100
33.39  10
34.80  11
35.04  12
39.96  8
42.12  7


[7]
Diffraction record for Ho3Cu4Ge4. The powder X-ray diffraction pattern is calculated, not measured: it uses a structure optimized by DFT (GGA-PBE) and Cu Kα, 1.54184 Å.
Lines closer than 0.1° are merged.

Structural model:
Unit cell a=7.9777 b=7.9777 c=7.9777 alpha=149.60 beta=130.71 gamma=59.02
Positions (direct):
1 Ho 0.0000 0.0000 0.0000
2 Ho 0.3701 0.8701 0.5000
3 Ho 0.6299 0.1299 0.5000
4 Cu 0.0209 0.3308 0.6901
5 Cu 0.3593 0.6692 0.6901
6 Cu 0.6407 0.3308 0.3099
7 Cu 0.9791 0.6692 0.3099
8 Ge 0.2169 0.2169 0.0000
9 Ge 0.3081 0.5000 0.8081
10 Ge 0.6919 0.5000 0.1919
11 Ge 0.7831 0.7831 0.0000

Most intense lines, 10° ≤ 2θ ≤ 90°, by angle:
2theta  I (rel.)
35.05  100
36.23  84
38.92  16
43.25  31
45.35  24
64.43  22


[8]
Diffraction record for CaAl2Si3O12. The powder X-ray diffraction pattern is calculated, not measured: it uses a structure optimized by DFT (GGA-PBE) and Cu Kα, 1.54184 Å.
Lines closer than 0.1° are merged.

Structural model:
Unit cell a=9.6791 b=9.6791 c=9.8201 alpha=96.67 beta=96.67 gamma=139.82
Positions (direct):
1 Ca 0.1444 0.8556 0.5000
2 Ca 0.8556 0.1444 0.0000
3 Al 0.3198 0.4922 0.2531
4 Al 0.4359 0.7494 0.6367
5 Al 0.4922 0.3198 0.7531
6 Al 0.7494 0.4359 0.1367
7 Si 0.0158 0.7643 0.9440
8 Si 0.2678 0.3161 0.5086
9 Si 0.3161 0.2678 0.0086
10 Si 0.4394 0.9965 0.8708
11 Si 0.7643 0.0158 0.4440
12 Si 0.9965 0.4394 0.3708
13 O 0.0720 0.4020 0.2453
14 O 0.0953 0.9881 0.9622
15 O 0.2126 0.8129 0.9177
16 O 0.2138 0.6637 0.5129
17 O 0.2228 0.3418 0.0709
18 O 0.2655 0.9652 0.2820
19 O 0.3418 0.2228 0.5709
20 O 0.3424 0.3831 0.3668
21 O 0.3717 0.5260 0.6310
22 O 0.3831 0.3424 0.8668
23 O 0.4020 0.0720 0.7453
24 O 0.5006 0.8865 0.8141
25 O 0.5260 0.3717 0.1310
26 O 0.5584 0.7878 0.3031
27 O 0.6637 0.2138 0.0129
28 O 0.6703 0.8152 0.0895
29 O 0.6818 0.9596 0.5869
30 O 0.7878 0.5584 0.8031
31 O 0.8129 0.2126 0.4177
32 O 0.8152 0.6703 0.5895
33 O 0.8865 0.5006 0.3141
34 O 0.9596 0.6818 0.0869
35 O 0.9652 0.2655 0.7820
36 O 0.9881 0.0953 0.4622

Most intense lines, 10° ≤ 2θ ≤ 90°, by angle:
2theta  I (rel.)
13.66  54
14.98  100
20.25  33
20.40  74
31.38  46
31.58  35


[9]
Diffraction record for Y2In3Sn3. The powder X-ray diffraction pattern is calculated, not measured: it uses a structure optimized by DFT (GGA-PBE) and Cu Kα, 1.54184 Å.
Lines closer than 0.1° are merged.

Structural model:
Unit cell a=4.6926 b=4.6995 c=9.3764 alpha=90.00 beta=90.00 gamma=90.00
Positions (direct):
1 Y 0.0000 0.0000 0.2480
2 Y 0.0000 0.0000 0.7520
3 In 0.0000 0.5000 0.5000
4 In 0.5000 0.5000 0.2510
5 In 0.5000 0.5000 0.7490
6 Sn 0.0000 0.5000 0.0000
7 Sn 0.5000 0.0000 0.0000
8 Sn 0.5000 0.0000 0.5000

Most intense lines, 10° ≤ 2θ ≤ 90°, by angle:
2theta  I (rel.)
33.06  100
38.36  50
55.37  34
65.99  27
66.08  13
69.36  12